No. 1
The following is a simulated PXRD pattern of Na4P2H4CO9. It was derived from a structure optimized by DFT (PBE), using Cu Kα (weighted mean of Kα1 and Kα2).
Lines closer than 0.1° are merged.

Largest 8 diffraction maxima, by angle, 2θ from 10° to 90°:
2θ = 14.67°, rel. 60, hkl 1 1 0
2θ = 17.14°, rel. 44, hkl 1 0 1
2θ = 23.29°, rel. 86, hkl 1 2 0
2θ = 27.42°, rel. 44, hkl 0 0 2
2θ = 31.24°, rel. 44, hkl 1 1 2
2θ = 32.70°, rel. 88, hkl 2 2 1
2θ = 36.01°, rel. 100, hkl 1 3 1
2θ = 36.28°, rel. 48, hkl 2 1 2

Crystal structure
a b c (Å): 8.539 8.539 6.505
angles (deg): 90.00 90.00 90.00
Fractional coordinates of all 40 atoms:
Na 0.039 0.700 0.137
Na 0.300 0.039 0.863
Na 0.319 0.429 0.299
Na 0.429 0.681 0.701
Na 0.571 0.319 0.701
Na 0.681 0.571 0.299
Na 0.700 0.961 0.863
Na 0.961 0.300 0.137
P 0.169 0.410 0.793
P 0.410 0.831 0.207
P 0.590 0.169 0.207
P 0.831 0.590 0.793
H 0.078 0.822 0.711
H 0.144 0.190 0.480
H 0.178 0.078 0.289
H 0.190 0.856 0.520
H 0.810 0.144 0.520
H 0.822 0.922 0.289
H 0.856 0.810 0.480
H 0.922 0.178 0.711
C 0.000 0.500 0.648
C 0.500 0.000 0.352
O 0.000 0.500 0.456
O 0.111 0.237 0.805
O 0.153 0.187 0.329
O 0.176 0.489 0.004
O 0.187 0.847 0.671
O 0.237 0.889 0.195
O 0.316 0.430 0.663
O 0.430 0.684 0.337
O 0.489 0.824 0.996
O 0.500 0.000 0.544
O 0.511 0.176 0.996
O 0.570 0.316 0.337
O 0.684 0.570 0.663
O 0.763 0.111 0.195
O 0.813 0.153 0.671
O 0.824 0.511 0.004
O 0.847 0.813 0.329
O 0.889 0.763 0.805


No. 2
The following is a simulated PXRD pattern of NaTbP2H2CO7. It was derived from a structure optimized by DFT (PBE), using Cu Kα (weighted mean of Kα1 and Kα2).
Lines closer than 0.1° are merged.

Largest 8 diffraction maxima, by angle, 2θ from 10° to 90°:
2θ = 13.16°, rel. 53, hkl 1 0 0
2θ = 14.39°, rel. 57, hkl 1 1 0
2θ = 14.57°, rel. 100, hkl 0 1 1
2θ = 19.92°, rel. 41, hkl 1 1 1
2θ = 21.95°, rel. 64, hkl 1 2 -1
2θ = 23.42°, rel. 53, hkl 0 4 0
2θ = 30.33°, rel. 69, hkl 1 0 2
2θ = 32.39°, rel. 69, hkl 0 5 1

Crystal structure
a b c (Å): 6.732 15.196 6.638
angles (deg): 90.00 91.53 90.00
Fractional coordinates of all 56 atoms:
Na 0.203 0.028 0.139
Na 0.203 0.472 0.639
Na 0.797 0.528 0.361
Na 0.797 0.972 0.861
Tb 0.327 0.602 0.096
Tb 0.327 0.898 0.596
Tb 0.673 0.102 0.404
Tb 0.673 0.398 0.904
P 0.181 0.092 0.632
P 0.181 0.408 0.132
P 0.469 0.661 0.602
P 0.469 0.839 0.102
P 0.531 0.161 0.898
P 0.531 0.339 0.398
P 0.819 0.592 0.868
P 0.819 0.908 0.368
H 0.178 0.201 0.892
H 0.178 0.299 0.392
H 0.302 0.239 0.679
H 0.302 0.261 0.179
H 0.698 0.739 0.821
H 0.698 0.761 0.321
H 0.822 0.701 0.608
H 0.822 0.799 0.108
C 0.287 0.182 0.779
C 0.287 0.318 0.279
C 0.713 0.682 0.721
C 0.713 0.818 0.221
O 0.006 0.626 0.979
O 0.006 0.874 0.479
O 0.088 0.660 0.328
O 0.088 0.840 0.828
O 0.139 0.015 0.779
O 0.139 0.485 0.279
O 0.334 0.058 0.479
O 0.334 0.442 0.979
O 0.350 0.604 0.746
O 0.350 0.896 0.246
O 0.376 0.748 0.065
O 0.376 0.752 0.565
O 0.495 0.112 0.098
O 0.495 0.388 0.598
O 0.505 0.612 0.402
O 0.505 0.888 0.902
O 0.624 0.248 0.435
O 0.624 0.252 0.935
O 0.650 0.104 0.754
O 0.650 0.396 0.254
O 0.666 0.558 0.021
O 0.666 0.942 0.521
O 0.861 0.515 0.721
O 0.861 0.985 0.221
O 0.912 0.160 0.172
O 0.912 0.340 0.672
O 0.994 0.126 0.521
O 0.994 0.374 0.021